Structure and calculated PXRD pattern of NdGdBi2Te2 (a cell relaxed with GGA-PBE; Cu Kα (λ = 1.5418 Å)).
Peak positions follow from Bragg's law for the DFT cell and can differ from measured ones.

Structural model:
```
6
Lattice="4.4330 0.0000 0.0000 0.0000 4.4330 0.0000 0.0000 0.0000 9.4921" Properties=species:S:1:pos:R:3 pbc="T T T"
Nd 0.0000 0.0000 0.0000
Gd 2.2165 2.2165 4.0981
Bi 0.0000 2.2165 6.7777
Bi 2.2165 0.0000 6.7777
Te 0.0000 0.0000 3.2844
Te 2.2165 2.2165 0.8966
```

Main lines, in order of rising 2θ (2θ = 10–90°):
28.20°, d 3.164, rel. 41; 30.02°, d 2.977, rel. 100; 34.28°, d 2.616, rel. 79; 34.84°, d 2.575, rel. 27; 40.71°, d 2.217, rel. 48; 50.26°, d 1.815, rel. 34

=====

Structure and calculated PXRD pattern of NdGdZr2Bi2 (a cell relaxed with GGA-PBE; Cu Kα (λ = 1.5418 Å)).
Peak positions follow from Bragg's law for the DFT cell and can differ from measured ones.

Structural model:
```
6
Lattice="-2.1855 2.1855 8.5926 2.1855 -2.1855 8.5926 2.1855 2.1855 -8.5926" Properties=species:S:1:pos:R:3 pbc="T T T"
Nd 0.0000 0.0000 0.0000
Gd 0.0000 0.0000 6.0749
Zr 2.1855 0.0000 3.0666
Zr 0.0000 2.1855 3.0666
Bi 0.0000 0.0000 9.3971
Bi 0.0000 0.0000 13.9127
```

Main lines, in order of rising 2θ (2θ = 10–90°):
28.89°, d 3.091, rel. 53; 30.74°, d 2.908, rel. 53; 33.16°, d 2.702, rel. 55; 35.79°, d 2.509, rel. 100; 41.31°, d 2.185, rel. 60; 53.96°, d 1.699, rel. 28

=====

Structure and calculated PXRD pattern of GdYBiO2 (a cell relaxed with GGA-PBE; Cu Kα (λ = 1.5418 Å)).
Peak positions follow from Bragg's law for the DFT cell and can differ from measured ones.

Structural model:
```
5
Lattice="-1.9459 1.9459 6.7546 1.9459 -1.9459 6.7546 1.9459 1.9459 -6.7546" Properties=species:S:1:pos:R:3 pbc="T T T"
Gd 0.0000 0.0000 0.0000
Y 0.0000 0.0000 4.5100
Bi 0.0000 0.0000 9.0106
O 1.9459 0.0000 5.6145
O 0.0000 1.9459 5.6145
```

Main lines, in order of rising 2θ (2θ = 10–90°):
30.36°, d 2.944, rel. 100; 32.54°, d 2.752, rel. 36; 46.68°, d 1.946, rel. 18; 52.51°, d 1.743, rel. 25; 56.70°, d 1.623, rel. 35; 85.41°, d 1.137, rel. 11

=====

Structure and calculated PXRD pattern of Pr2GdBi3 (a cell relaxed with GGA-PBE; Cu Kα (λ = 1.5418 Å)).
Peak positions follow from Bragg's law for the DFT cell and can differ from measured ones.

Structural model:
```
6
Lattice="4.5755 0.0000 0.0000 -2.2878 3.9625 0.0000 0.0000 0.0000 11.2488" Properties=species:S:1:pos:R:3 pbc="T T T"
Pr 0.0000 2.6417 3.7062
Pr 2.2878 1.3208 7.5426
Gd 0.0000 0.0000 0.0000
Bi 0.0000 0.0000 5.6244
Bi 0.0000 2.6417 9.4535
Bi 2.2878 1.3208 1.7953
```

Main lines, in order of rising 2θ (2θ = 10–90°):
27.54°, d 3.239, rel. 100; 39.34°, d 2.291, rel. 78; 48.73°, d 1.869, rel. 21; 64.23°, d 1.450, rel. 18; 64.37°, d 1.447, rel. 19; 71.37°, d 1.322, rel. 21

=====

Structure and calculated PXRD pattern of PrGd2Bi3 (a cell relaxed with GGA-PBE; Cu Kα (λ = 1.5418 Å)).
Peak positions follow from Bragg's law for the DFT cell and can differ from measured ones.

Structural model:
```
6
Lattice="4.5287 0.0000 0.0000 -2.2644 3.9220 0.0000 0.0000 0.0000 11.1324" Properties=species:S:1:pos:R:3 pbc="T T T"
Pr 0.0000 0.0000 0.0000
Gd 0.0000 2.6146 3.7534
Gd 2.2644 1.3073 7.3790
Bi 0.0000 0.0000 5.5662
Bi 0.0000 2.6146 9.1981
Bi 2.2644 1.3073 1.9343
```

Main lines, in order of rising 2θ (2θ = 10–90°):
27.83°, d 3.206, rel. 100; 39.76°, d 2.267, rel. 78; 49.27°, d 1.850, rel. 21; 64.98°, d 1.435, rel. 18; 65.12°, d 1.432, rel. 19; 72.23°, d 1.308, rel. 21

=====

Structure and calculated PXRD pattern of Gd3Bi2S (a cell relaxed with GGA-PBE; Cu Kα (λ = 1.5418 Å)).
Peak positions follow from Bragg's law for the DFT cell and can differ from measured ones.

Structural model:
```
6
Lattice="4.3148 0.0000 0.0000 -2.1574 3.7368 0.0000 0.0000 0.0000 10.6435" Properties=species:S:1:pos:R:3 pbc="T T T"
Gd 0.0000 0.0000 0.0000
Gd 0.0000 2.4912 3.8367
Gd 2.1574 1.2456 6.8068
Bi 0.0000 2.4912 8.7317
Bi 2.1574 1.2456 1.9118
S 0.0000 0.0000 5.3217
```

Main lines, in order of rising 2θ (2θ = 10–90°):
29.20°, d 3.058, rel. 100; 34.87°, d 2.573, rel. 13; 41.67°, d 2.168, rel. 32; 41.87°, d 2.157, rel. 38; 51.86°, d 1.763, rel. 21; 68.77°, d 1.365, rel. 18

=====

Structure and calculated PXRD pattern of SmGdBi2Te2 (a cell relaxed with GGA-PBE; Cu Kα (λ = 1.5418 Å)).
Peak positions follow from Bragg's law for the DFT cell and can differ from measured ones.

Structural model:
```
6
Lattice="4.4241 0.0000 0.0000 0.0000 4.4241 0.0000 0.0000 0.0000 9.4281" Properties=species:S:1:pos:R:3 pbc="T T T"
Sm 0.0000 0.0000 0.0000
Gd 2.2120 2.2120 4.0709
Bi 0.0000 2.2120 6.7464
Bi 2.2120 0.0000 6.7464
Te 0.0000 0.0000 3.2327
Te 2.2120 2.2120 0.8590
```

Main lines, in order of rising 2θ (2θ = 10–90°):
28.40°, d 3.143, rel. 41; 30.10°, d 2.969, rel. 100; 34.41°, d 2.607, rel. 80; 35.02°, d 2.562, rel. 27; 40.79°, d 2.212, rel. 49; 50.45°, d 1.809, rel. 34

=====

Structure and calculated PXRD pattern of Hf4GeBi (a cell relaxed with GGA-PBE; Cu Kα (λ = 1.5418 Å)).
Peak positions follow from Bragg's law for the DFT cell and can differ from measured ones.

Structural model:
```
6
Lattice="-3.3892 3.3892 2.8020 3.3892 -3.3892 2.8020 3.3892 3.3892 -2.8020" Properties=species:S:1:pos:R:3 pbc="T T T"
Hf 2.3629 -1.0262 1.4010
Hf 4.4154 1.0262 1.4010
Hf 1.0262 2.3629 1.4010
Hf -1.0262 4.4154 1.4010
Ge 0.0000 0.0000 0.0000
Bi 0.0000 0.0000 2.8020
```

Main lines, in order of rising 2θ (2θ = 10–90°):
33.61°, d 2.666, rel. 100; 37.17°, d 2.419, rel. 33; 41.83°, d 2.160, rel. 23; 42.16°, d 2.143, rel. 40; 57.99°, d 1.590, rel. 21; 67.48°, d 1.388, rel. 19

=====

Structure and calculated PXRD pattern of HfGeBi2 (a cell relaxed with GGA-PBE; Cu Kα (λ = 1.5418 Å)).
Peak positions follow from Bragg's law for the DFT cell and can differ from measured ones.

Structural model:
```
4
Lattice="0.0000 3.7057 3.7057 3.7057 0.0000 3.7057 3.7057 3.7057 0.0000" Properties=species:S:1:pos:R:3 pbc="T T T"
Hf 0.0000 0.0000 0.0000
Ge 5.5585 5.5585 5.5585
Bi 1.8528 1.8528 1.8528
Bi 3.7057 3.7057 3.7057
```

Main lines, in order of rising 2θ (2θ = 10–90°):
20.76°, d 4.279, rel. 9; 34.22°, d 2.620, rel. 100; 49.17°, d 1.853, rel. 18; 61.27°, d 1.513, rel. 38; 72.09°, d 1.310, rel. 12; 82.28°, d 1.172, rel. 17

=====

Structure and calculated PXRD pattern of HfGeBi (a cell relaxed with GGA-PBE; Cu Kα (λ = 1.5418 Å)).
Peak positions follow from Bragg's law for the DFT cell and can differ from measured ones.

Structural model:
```
3
Lattice="0.0000 3.3841 3.3841 3.3841 0.0000 3.3841 3.3841 3.3841 0.0000" Properties=species:S:1:pos:R:3 pbc="T T T"
Hf 0.0000 0.0000 0.0000
Ge 5.0762 5.0762 5.0762
Bi 3.3841 3.3841 3.3841
```

Main lines, in order of rising 2θ (2θ = 10–90°):
26.34°, d 3.384, rel. 56; 37.59°, d 2.393, rel. 100; 46.48°, d 1.954, rel. 17; 54.21°, d 1.692, rel. 18; 61.25°, d 1.513, rel. 23; 67.84°, d 1.382, rel. 36

=====

Structure and calculated PXRD pattern of La2GeBiPd2 (a cell relaxed with GGA-PBE; Cu Kα (λ = 1.5418 Å)).
Peak positions follow from Bragg's law for the DFT cell and can differ from measured ones.

Structural model:
```
6
Lattice="4.5935 0.0000 0.0000 -2.2968 3.9781 0.0000 0.0000 0.0000 8.3076" Properties=species:S:1:pos:R:3 pbc="T T T"
La 0.0000 0.0000 1.9319
La 0.0000 0.0000 6.3757
Ge 0.0000 2.6521 0.0000
Bi 2.2968 1.3260 4.1538
Pd 0.0000 2.6521 4.1538
Pd 2.2968 1.3260 0.0000
```

Main lines, in order of rising 2θ (2θ = 10–90°):
31.13°, d 2.873, rel. 100; 39.22°, d 2.297, rel. 57; 43.58°, d 2.077, rel. 13; 50.90°, d 1.794, rel. 25; 60.06°, d 1.540, rel. 31; 66.09°, d 1.414, rel. 23

=====

Structure and calculated PXRD pattern of Li4GeBiPd2 (a cell relaxed with GGA-PBE; Cu Kα (λ = 1.5418 Å)).
Peak positions follow from Bragg's law for the DFT cell and can differ from measured ones.

Structural model:
```
8
Lattice="4.3705 0.0000 0.0000 0.0000 4.3705 0.0000 0.0000 0.0000 6.5602" Properties=species:S:1:pos:R:3 pbc="T T T"
Li 0.0000 0.0000 0.0000
Li 0.0000 2.1853 1.4440
Li 2.1853 0.0000 5.1162
Li 2.1853 2.1853 3.2801
Ge 2.1853 2.1853 0.0000
Bi 0.0000 0.0000 3.2801
Pd 0.0000 2.1853 5.1462
Pd 2.1853 0.0000 1.4141
```

Main lines, in order of rising 2θ (2θ = 10–90°):
24.47°, d 3.637, rel. 100; 40.09°, d 2.249, rel. 60; 41.31°, d 2.185, rel. 34; 46.44°, d 1.955, rel. 19; 48.60°, d 1.873, rel. 32; 74.50°, d 1.274, rel. 19

=====

Structure and calculated PXRD pattern of Ge2Bi2Os3 (a cell relaxed with GGA-PBE; Cu Kα (λ = 1.5418 Å)).
Peak positions follow from Bragg's law for the DFT cell and can differ from measured ones.

Structural model:
```
7
Lattice="2.2170 1.2800 7.9270 -2.2170 1.2800 7.9270 0.0000 -2.5599 7.9270" Properties=species:S:1:pos:R:3 pbc="T T T"
Ge 0.0000 0.0000 0.0000
Ge 0.0000 0.0000 11.8075
Bi 0.0000 0.0000 5.9226
Bi 0.0000 0.0000 17.5833
Os 0.0000 0.0000 2.8320
Os 0.0000 0.0000 8.8218
Os 0.0000 0.0000 20.3911
```

Main lines, in order of rising 2θ (2θ = 10–90°):
11.16°, d 7.927, rel. 24; 24.36°, d 3.654, rel. 30; 38.29°, d 2.351, rel. 100; 40.70°, d 2.217, rel. 92; 57.11°, d 1.613, rel. 32; 72.47°, d 1.304, rel. 32

=====

Structure and calculated PXRD pattern of Pr2Sc2GeBi (a cell relaxed with GGA-PBE; Cu Kα (λ = 1.5418 Å)).
Peak positions follow from Bragg's law for the DFT cell and can differ from measured ones.

Structural model:
```
6
Lattice="-2.2302 2.2302 8.2330 2.2302 -2.2302 8.2330 2.2302 2.2302 -8.2330" Properties=species:S:1:pos:R:3 pbc="T T T"
Pr 0.0000 0.0000 0.0000
Pr 0.0000 0.0000 5.8389
Sc 2.2302 0.0000 3.2030
Sc 0.0000 2.2302 3.2030
Ge 0.0000 0.0000 13.2742
Bi 0.0000 0.0000 9.2070
```

Main lines, in order of rising 2θ (2θ = 10–90°):
28.30°, d 3.154, rel. 93; 30.35°, d 2.945, rel. 58; 33.83°, d 2.649, rel. 100; 35.87°, d 2.504, rel. 86; 40.45°, d 2.230, rel. 68; 53.72°, d 1.706, rel. 54

=====

Structure and calculated PXRD pattern of Pu3Bi2H2 (a cell relaxed with GGA-PBE; Cu Kα (λ = 1.5418 Å)).
Peak positions follow from Bragg's law for the DFT cell and can differ from measured ones.

Structural model:
```
14
Lattice="6.4691 0.0000 0.0000 0.0000 6.0280 0.0000 -2.7760 0.0000 7.7369" Properties=species:S:1:pos:R:3 pbc="T T T"
Pu 0.0000 0.0000 0.0000
Pu -1.3880 3.0140 3.8684
Pu 0.2266 0.7187 6.0866
Pu 1.6146 2.2953 2.2182
Pu 2.0785 3.7327 5.5187
Pu 3.4665 5.3094 1.6503
Bi -1.0500 3.5991 6.9217
Bi 0.3380 5.4429 3.0533
Bi 3.3551 0.5851 4.6836
Bi 4.7431 2.4289 0.8152
H 2.1039 0.7052 0.5177
H 0.7159 2.3089 4.3861
H 2.9773 3.7192 3.3508
H 1.5893 5.3229 7.2192
```

Main lines, in order of rising 2θ (2θ = 10–90°):
31.30°, d 2.858, rel. 76; 31.43°, d 2.846, rel. 100; 31.86°, d 2.808, rel. 59; 36.13°, d 2.486, rel. 73; 36.85°, d 2.439, rel. 36; 52.59°, d 1.740, rel. 36